Diffraction record for SrCaCeGeO6. The powder diffraction line list is calculated, not measured: it uses a structure optimized by DFT (GGA-PBE) and λ = 1.5418 Å (Cu Kα).
No peak broadening, texture or thermal motion is included.

Crystal structure
```
data_SrCaCeGeO6
_chemical_formula_sum 'Sr4 Ca4 Ce4 Ge4 O24'
_symmetry_space_group_name_H-M 'F -4 3 m'
_symmetry_Int_Tables_number 216
_symmetry_space_group_name_Hall 'F -4 2 3'
_cell_length_a 8.2118
_cell_length_b 8.2118
_cell_length_c 8.2118
_cell_angle_alpha 90.00
_cell_angle_beta 90.00
_cell_angle_gamma 90.00
loop_
_atom_site_label
_atom_site_type_symbol
_atom_site_fract_x
_atom_site_fract_y
_atom_site_fract_z
Sr1 Sr 0.0000 0.0000 0.0000
Ca1 Ca 0.0000 0.0000 0.5000
Ce1 Ce 0.2500 0.2500 0.7500
Ge1 Ge 0.2500 0.2500 0.2500
O1 O 0.0175 0.2500 0.2500
```

Principal peaks in the range 10 to 80 degrees two-theta, in order of rising 2θ:
2θ 21.64, intensity 18, (2 0 0); 2θ 30.80, intensity 100, (2 2 0); 2θ 44.11, intensity 35, (4 0 0); 2θ 54.76, intensity 39, (4 2 2); 2θ 64.15, intensity 21, (4 4 0); 2θ 72.85, intensity 18, (6 2 0)


Diffraction record for Ca2CeHfP4. The powder diffraction line list is calculated, not measured: it uses a structure optimized by DFT (GGA-PBE) and λ = 1.5418 Å (Cu Kα).
No peak broadening, texture or thermal motion is included.

Crystal structure
```
data_Ca2CeHfP4
_chemical_formula_sum 'Ca2 Ce1 Hf1 P4'
_symmetry_space_group_name_H-M 'P 1 2/m 1'
_symmetry_Int_Tables_number 10
_cell_length_a 6.8938
_cell_length_b 3.9833
_cell_length_c 7.0022
_cell_angle_alpha 90.00
_cell_angle_beta 109.00
_cell_angle_gamma 90.00
loop_
_symmetry_equiv_pos_as_xyz
'x,y,z'
'-x,-y,-z'
'-x,y,-z'
'x,-y,z'
loop_
_atom_site_label
_atom_site_type_symbol
_atom_site_fract_x
_atom_site_fract_y
_atom_site_fract_z
Ca1 Ca 0.0000 0.0000 0.0000
Ca2 Ca 0.5000 0.5000 0.0000
Ce1 Ce 0.0000 0.5000 0.5000
Hf1 Hf 0.5000 0.0000 0.5000
P1 P 0.2568 0.0000 0.7284
P2 P 0.2702 0.5000 0.2766
```

Principal peaks in the range 10 to 80 degrees two-theta, in order of rising 2θ:
2θ 13.37, intensity 56, (0 0 1); 2θ 26.23, intensity 29, (1 1 0); 2θ 27.38, intensity 40, (2 0 0); 2θ 31.59, intensity 100, (1 1 1); 2θ 44.99, intensity 35, (1 1 -3); 2θ 45.56, intensity 35, (0 2 0)